Theoretical powder diffractogram
Compound: Nd3Sm2DySe6
Radiation: Cu Kα (λ = 1.5418 Å)
Structure: DFT lattice parameters and positions (GGA-PBE)
Intensities are scaled so that the largest is 100.

```
12
Lattice="3.6085 -6.2796 0.0000 3.6085 6.2796 0.0000 -2.4166 0.0000 6.8640" Properties=species:S:1:pos:R:3 pbc="T T T"
Nd 0.0000 0.0000 0.0000
Nd 3.6085 2.1408 0.0000
Nd 3.6085 -2.1408 0.0000
Sm 2.4002 4.1815 3.4320
Sm 2.4002 -4.1815 3.4320
Dy 2.4002 0.0000 3.4320
Se 1.2222 2.0554 1.7789
Se 0.0343 0.0000 5.1054
Se 1.2222 -2.0554 1.7789
Se 3.5783 2.0554 5.0850
Se 4.7661 0.0000 1.7585
Se 3.5783 -2.0554 5.0850
```

Top 6 peaks for 10 to 90 degrees two-theta, in order of rising 2θ:
d_spacing	intensity
2.960	100
2.099	25
2.094	25
2.086	25
1.708	13
1.480	12